BaLaMg14: computed powder X-ray diffraction pattern (Cu Kα), based on a GGA-PBE-relaxed structure.

Atomic structure:
a = 6.8415 Å, b = 6.8415 Å, c = 10.4836 Å
α = 90.00°, β = 90.00°, γ = 120.00°
Space group P-6m2 (No. 187)
Symmetry-distinct sites (fractional):
1 Ba 0.0000 0.0000 0.0000 (multiplicity 1)
2 La 0.0000 0.0000 0.5000 (multiplicity 1)
3 Mg 0.0055 0.5028 0.5000 (multiplicity 3)
4 Mg 0.0086 0.5043 0.0000 (multiplicity 3)
5 Mg 0.1767 0.3534 0.2549 (multiplicity 6)
6 Mg 0.6667 0.3333 0.2505 (multiplicity 2)

Most intense lines, 15 to 90 degrees two-theta, most intense first:
Position (°2θ)	d/Å	I/Imax	hkl
34.78	2.579	100	2 0 2
22.65	3.926	50	1 0 2
30.17	2.962	32	2 0 0
34.21	2.621	22	0 0 4
31.22	2.865	20	1 1 2
46.25	1.963	19	2 0 4
65.12	1.432	19	2 2 4
61.63	1.505	18	2 0 6
53.58	1.710	18	2 2 0
26.05	3.421	17	1 1 0
16.91	5.242	15	0 0 2
65.48	1.425	15	4 0 2

---

KC2: computed powder X-ray diffraction pattern (Cu Kα), based on a GGA-PBE-relaxed structure.

Atomic structure:
a = 4.3821 Å, b = 4.3821 Å, c = 7.4507 Å
α = 90.00°, β = 90.00°, γ = 90.00°
Space group P4/nmm (No. 129, origin choice 2)
Symmetry-distinct sites (fractional):
1 K 0.2500 0.2500 0.2458 (multiplicity 2)
2 C 0.2500 0.2500 0.6615 (multiplicity 2)
3 C 0.2500 0.2500 0.8313 (multiplicity 2)

Most intense lines, 15 to 90 degrees two-theta, most intense first:
Position (°2θ)	d/Å	I/Imax	hkl
28.81	3.099	100	1 1 0
37.76	2.382	58	1 1 2
23.89	3.725	56	0 0 2
23.55	3.777	35	1 0 1
41.20	2.191	32	2 0 0
41.81	2.161	28	1 0 3
48.18	1.889	25	2 0 2
60.15	1.538	16	2 1 3
72.82	1.299	12	3 1 2
48.00	1.895	12	2 1 1
81.07	1.186	12	2 1 5
67.60	1.386	11	3 1 0

---

As2O3: computed powder X-ray diffraction pattern (Cu Kα), based on a GGA-PBE-relaxed structure.

Atomic structure:
a = 8.3098 Å, b = 4.6854 Å, c = 11.6982 Å
α = 90.00°, β = 123.69°, γ = 90.00°
Space group P2_1/c (No. 14)
Symmetry-distinct sites (fractional):
1 As 0.0471 0.1805 0.3628 (multiplicity 4)
2 As 0.4164 0.6387 0.2975 (multiplicity 4)
3 O 0.0794 0.6722 0.8132 (multiplicity 4)
4 O 0.1714 0.6249 0.1398 (multiplicity 4)
5 O 0.4678 0.0134 0.2883 (multiplicity 4)

Most intense lines, 15 to 90 degrees two-theta, most intense first:
Position (°2θ)	d/Å	I/Imax	hkl
24.50	3.634	100	1 1 -2
18.23	4.867	85	0 0 2
25.77	3.457	44	2 0 0
39.56	2.278	32	0 2 1
21.87	4.064	27	1 1 -1
32.48	2.757	22	3 0 -2
29.90	2.988	22	1 1 -3
27.65	3.226	18	1 0 2
36.99	2.430	17	1 1 -4
21.76	4.084	17	2 0 -2
45.89	1.977	16	1 0 4
32.18	2.782	16	2 1 0

---

OsN2: computed powder X-ray diffraction pattern (Cu Kα), based on a GGA-PBE-relaxed structure.

Atomic structure:
a = 3.0058 Å, b = 3.0058 Å, c = 3.7759 Å
α = 90.00°, β = 90.00°, γ = 120.00°
Space group P-6m2 (No. 187)
Symmetry-distinct sites (fractional):
1 Os 0.0000 0.0000 0.0000 (multiplicity 1)
2 N 0.6667 0.3333 0.3268 (multiplicity 2)

Most intense lines, 15 to 90 degrees two-theta, most intense first:
Position (°2θ)	d/Å	I/Imax	hkl
42.16	2.143	100	1 0 1
34.45	2.603	71	1 0 0
23.56	3.776	60	0 0 1
60.59	1.528	35	1 0 2
67.02	1.396	22	1 1 1
61.72	1.503	19	1 1 0
77.59	1.231	17	2 0 1
81.94	1.176	13	1 1 2
85.74	1.133	12	1 0 3
48.20	1.888	9	0 0 2
72.64	1.302	9	2 0 0
75.54	1.259	3	0 0 3